Starting from a structure optimized by DFT (GGA-PBE), the PXRD pattern of PrDy2Al was simulated for Cu Ka.

Crystal structure
```
PrDy2Al
1.0
3.548 0.000 0.000
0.000 3.548 0.000
0.000 0.000 9.133
Pr Dy Al
1 2 1
Direct
0.000 0.000 0.000
0.500 0.500 0.292
0.500 0.500 0.708
0.000 0.000 0.500
```

Largest 10 diffraction maxima, sorted by position, 10° ≤ 2θ ≤ 80°:
hkl 1 0 0, 25.10°, I 10; hkl 1 0 1, 26.96°, I 31; hkl 0 0 3, 29.34°, I 19; hkl 1 0 2, 31.94°, I 100; hkl 1 1 0, 35.79°, I 44; hkl 1 1 3, 46.93°, I 21; hkl 2 0 0, 51.52°, I 16; hkl 1 1 4, 54.33°, I 12; hkl 1 0 5, 56.68°, I 18; hkl 2 1 2, 61.91°, I 30